Structure and computed PXRD pattern of Th2MnF11 (a DFT-relaxed cell (PBE+U, Alexandria); Cu Kα X-rays).
Lines closer than 0.1° are merged.

The 10 most intense peaks (10° ≤ 2θ ≤ 90°), most intense first:
23.65 deg, intensity 100, hkl 0 0 2
16.14 deg, intensity 64, hkl 2 0 0
19.52 deg, intensity 61, hkl 0 2 0
19.18 deg, intensity 57, hkl 2 0 -2
26.24 deg, intensity 42, hkl 3 1 0
27.50 deg, intensity 34, hkl 2 2 -2
25.43 deg, intensity 34, hkl 2 2 0
41.98 deg, intensity 31, hkl 2 4 -1
44.71 deg, intensity 30, hkl 3 1 2
23.82 deg, intensity 25, hkl 3 1 -2

Cell and atoms:
Lattice parameters (Å, degrees): 13.6032 9.0946 9.3200 90.00 126.16 90.00
Space group C2/c (No. 15)
Symmetry-distinct sites (fractional):
1 Th 0.2070 0.0449 0.2216
2 Mn 0.0000 0.3796 0.2500
3 F 0.0000 0.0000 0.0000
4 F 0.0873 0.2179 0.2209
5 F 0.1015 0.4831 0.7218
6 F 0.1266 0.3754 0.4898
7 F 0.1780 0.0199 0.9512
8 F 0.2311 0.2043 0.7800